CaPrHfCrO6: simulated X-ray powder pattern (λ = 1.5418 Å (Cu Kα)), based on a crystal structure in Alexandria, relaxed with GGA+U.
Kinematic intensities with the Lorentz-polarization factor, no thermal factor.

a b c (Å): 7.9930 7.9930 7.9930
angles (deg): 90.00 90.00 90.00
Space group F-43m (No. 216)
Unique sites:
Ca  0.0000  0.0000  0.0000 x4
Pr  0.0000  0.0000  0.5000 x4
Hf  0.2500  0.2500  0.2500 x4
Cr  0.2500  0.2500  0.7500 x4
O  0.0045  0.2500  0.7500 x24

Main lines, sorted by position (2θ = 10–80°):
2θ/deg  I (rel.)  h k l
19.23  36  1 1 1
22.24  6  2 0 0
31.66  100  2 2 0
37.31  22  3 1 1
45.39  32  4 0 0
49.72  11  3 3 1
56.39  39  4 2 2
60.15  8  3 3 3
66.13  19  4 4 0
69.58  8  5 3 1
75.18  17  6 2 0
78.46  3  5 3 3